Record 1
The following is a theoretical powder X-ray diffraction pattern of Ga3Cu3SiSe8. It was derived from DFT lattice parameters and positions (GGA-PBE), using Cu Kα, 1.54184 Å.
No peak broadening, texture or thermal motion is included.

abc: 5.671 5.671 10.824
angles: 90.00 90.00 90.00
Sites, in units of the cell vectors:
Ga 0.000 0.000 0.000
Ga 0.000 0.500 0.258
Ga 0.500 0.000 0.742
Cu 0.000 0.500 0.738
Cu 0.500 0.000 0.262
Cu 0.500 0.500 0.000
Si 0.500 0.500 0.500
Se 0.248 0.744 0.870
Se 0.250 0.252 0.609
Se 0.252 0.750 0.391
Se 0.256 0.248 0.130
Se 0.744 0.752 0.130
Se 0.748 0.250 0.391
Se 0.750 0.748 0.609
Se 0.752 0.256 0.870

Largest 6 diffraction maxima, in order of rising 2θ, 10° ≤ 2θ ≤ 90°:
d (Å)	two_theta	Rel. int.
3.222	27.69	100
2.005	45.23	25
1.958	46.39	44
1.702	53.86	30
1.645	55.89	12
1.148	84.36	15

Record 2
The following is a theoretical powder X-ray diffraction pattern of SrGaCu3Se4. It was derived from DFT lattice parameters and positions (GGA-PBE), using Cu Kα, 1.54184 Å.
No peak broadening, texture or thermal motion is included.

abc: 6.109 6.109 6.109
angles: 90.00 90.00 90.00
Sites, in units of the cell vectors:
Sr 0.000 0.000 0.000
Ga 0.500 0.500 0.500
Cu 0.000 0.500 0.500
Cu 0.500 0.000 0.500
Cu 0.500 0.500 0.000
Se 0.274 0.274 0.726
Se 0.274 0.726 0.274
Se 0.726 0.274 0.274
Se 0.726 0.726 0.726

Largest 6 diffraction maxima, in order of rising 2θ, 10° ≤ 2θ ≤ 90°:
d (Å)	two_theta	Rel. int.
6.109	14.50	18
4.319	20.56	15
3.527	25.25	87
2.160	41.83	100
1.842	49.49	36
1.247	76.38	27

Record 3
The following is a theoretical powder X-ray diffraction pattern of GaCuTeSe. It was derived from DFT lattice parameters and positions (GGA-PBE), using Cu Kα, 1.54184 Å.
No peak broadening, texture or thermal motion is included.

abc: 7.185 7.185 7.185
angles: 131.70 131.50 70.86
Sites, in units of the cell vectors:
Ga 0.131 0.381 0.750
Ga 0.369 0.119 0.250
Cu 0.637 0.887 0.750
Cu 0.863 0.613 0.250
Te 0.250 0.983 0.733
Te 0.750 0.517 0.767
Se 0.502 0.750 0.252
Se 0.998 0.250 0.248

Largest 6 diffraction maxima, in order of rising 2θ, 10° ≤ 2θ ≤ 90°:
d (Å)	two_theta	Rel. int.
3.394	26.26	100
2.080	43.50	48
2.074	43.64	24
1.778	51.41	15
1.772	51.56	15
1.767	51.73	14

Record 4
The following is a theoretical powder X-ray diffraction pattern of SrGa2Cu4Si. It was derived from DFT lattice parameters and positions (GGA-PBE), using Cu Kα, 1.54184 Å.
No peak broadening, texture or thermal motion is included.

abc: 9.515 9.515 9.515
angles: 25.26 25.26 25.26
Sites, in units of the cell vectors:
Sr 0.000 0.000 0.000
Ga 0.248 0.248 0.248
Ga 0.752 0.752 0.752
Cu 0.136 0.136 0.136
Cu 0.416 0.416 0.416
Cu 0.584 0.584 0.584
Cu 0.864 0.864 0.864
Si 0.500 0.500 0.500

Largest 6 diffraction maxima, in order of rising 2θ, 10° ≤ 2θ ≤ 90°:
d (Å)	two_theta	Rel. int.
3.018	29.60	17
2.661	33.68	63
2.493	36.03	59
2.080	43.50	100
2.060	43.95	16
1.543	59.93	25

Record 5
The following is a theoretical powder X-ray diffraction pattern of Tm2GaCu4Si3. It was derived from DFT lattice parameters and positions (GGA-PBE), using Cu Kα, 1.54184 Å.
No peak broadening, texture or thermal motion is included.

abc: 3.965 3.965 10.057
angles: 90.00 90.00 90.00
Sites, in units of the cell vectors:
Tm 0.000 0.500 0.241
Tm 0.500 0.000 0.759
Ga 0.000 0.000 0.500
Cu 0.000 0.000 0.000
Cu 0.000 0.500 0.640
Cu 0.500 0.000 0.360
Cu 0.500 0.500 0.000
Si 0.000 0.500 0.869
Si 0.500 0.000 0.131
Si 0.500 0.500 0.500

Largest 6 diffraction maxima, in order of rising 2θ, 10° ≤ 2θ ≤ 90°:
d (Å)	two_theta	Rel. int.
3.689	24.13	28
2.560	35.05	58
2.449	36.70	100
1.982	45.77	43
1.794	50.91	27
1.567	58.92	26

Record 6
The following is a theoretical powder X-ray diffraction pattern of Sm2Ga7Cu. It was derived from DFT lattice parameters and positions (GGA-PBE), using Cu Kα, 1.54184 Å.
No peak broadening, texture or thermal motion is included.

abc: 4.260 4.260 10.607
angles: 90.00 90.00 90.00
Sites, in units of the cell vectors:
Sm 0.000 0.500 0.242
Sm 0.500 0.000 0.758
Ga 0.000 0.000 0.000
Ga 0.000 0.000 0.500
Ga 0.000 0.500 0.641
Ga 0.000 0.500 0.872
Ga 0.500 0.000 0.128
Ga 0.500 0.000 0.359
Ga 0.500 0.500 0.500
Cu 0.500 0.500 0.000

Largest 6 diffraction maxima, in order of rising 2θ, 10° ≤ 2θ ≤ 90°:
d (Å)	two_theta	Rel. int.
2.721	32.92	61
2.619	34.23	100
2.130	42.44	55
1.899	47.90	30
1.677	54.73	29
1.417	65.90	22

Record 7
The following is a theoretical powder X-ray diffraction pattern of SmGa6Cu2. It was derived from DFT lattice parameters and positions (GGA-PBE), using Cu Kα, 1.54184 Å.
No peak broadening, texture or thermal motion is included.

abc: 8.240 8.240 8.240
angles: 60.00 60.00 60.00
Sites, in units of the cell vectors:
Sm 0.125 0.125 0.125
Sm 0.875 0.875 0.875
Ga 0.134 0.134 0.616
Ga 0.134 0.616 0.134
Ga 0.134 0.616 0.616
Ga 0.384 0.384 0.866
Ga 0.384 0.866 0.384
Ga 0.384 0.866 0.866
Ga 0.616 0.134 0.134
Ga 0.616 0.134 0.616
Ga 0.616 0.616 0.134
Ga 0.866 0.384 0.384
Ga 0.866 0.384 0.866
Ga 0.866 0.866 0.384
Cu 0.000 0.500 0.500
Cu 0.500 0.000 0.500
Cu 0.500 0.500 0.000
Cu 0.500 0.500 0.500

Largest 6 diffraction maxima, in order of rising 2θ, 10° ≤ 2θ ≤ 90°:
d (Å)	two_theta	Rel. int.
3.513	25.35	56
2.913	30.69	52
2.243	40.21	18
2.060	43.96	100
1.517	61.09	17
1.189	80.82	30

Record 8
The following is a theoretical powder X-ray diffraction pattern of Sm4Ga16Cu3. It was derived from DFT lattice parameters and positions (GGA-PBE), using Cu Kα, 1.54184 Å.
No peak broadening, texture or thermal motion is included.

abc: 6.260 6.260 11.122
angles: 90.00 90.00 90.00
Sites, in units of the cell vectors:
Sm 0.000 0.500 0.191
Sm 0.000 0.500 0.809
Sm 0.500 0.000 0.191
Sm 0.500 0.000 0.809
Ga 0.000 0.000 0.200
Ga 0.000 0.000 0.800
Ga 0.213 0.213 0.000
Ga 0.213 0.787 0.000
Ga 0.242 0.242 0.381
Ga 0.242 0.242 0.619
Ga 0.242 0.758 0.381
Ga 0.242 0.758 0.619
Ga 0.500 0.500 0.233
Ga 0.500 0.500 0.767
Ga 0.758 0.242 0.381
Ga 0.758 0.242 0.619
Ga 0.758 0.758 0.381
Ga 0.758 0.758 0.619
Ga 0.787 0.213 0.000
Ga 0.787 0.787 0.000
Cu 0.000 0.500 0.500
Cu 0.500 0.000 0.500
Cu 0.500 0.500 0.000

Largest 6 diffraction maxima, in order of rising 2θ, 10° ≤ 2θ ≤ 90°:
d (Å)	two_theta	Rel. int.
2.842	31.48	29
2.727	32.84	48
2.392	37.61	100
2.213	40.77	75
1.569	58.86	29
1.309	72.13	24

Record 9
The following is a theoretical powder X-ray diffraction pattern of Sm3Ga2Cu9. It was derived from DFT lattice parameters and positions (GGA-PBE), using Cu Kα, 1.54184 Å.
No peak broadening, texture or thermal motion is included.

abc: 7.961 7.961 7.961
angles: 148.97 113.10 75.57
Sites, in units of the cell vectors:
Sm 0.000 0.000 0.000
Sm 0.294 0.294 0.000
Sm 0.706 0.706 0.000
Ga 0.307 0.500 0.807
Ga 0.693 0.500 0.193
Cu 0.020 0.664 0.356
Cu 0.155 0.869 0.285
Cu 0.308 0.664 0.644
Cu 0.416 0.131 0.285
Cu 0.500 0.000 0.500
Cu 0.584 0.869 0.715
Cu 0.692 0.336 0.356
Cu 0.845 0.131 0.715
Cu 0.980 0.336 0.644

Largest 6 diffraction maxima, in order of rising 2θ, 10° ≤ 2θ ≤ 90°:
d (Å)	two_theta	Rel. int.
2.557	35.10	33
2.470	36.37	100
2.431	36.97	36
2.411	37.29	46
2.252	40.04	31
2.130	42.44	52

Record 10
The following is a theoretical powder X-ray diffraction pattern of Sm3Ga8Cu3. It was derived from DFT lattice parameters and positions (GGA-PBE), using Cu Kα, 1.54184 Å.
No peak broadening, texture or thermal motion is included.

abc: 8.182 8.182 9.588
angles: 125.40 125.40 30.45
Sites, in units of the cell vectors:
Sm 0.000 0.000 0.000
Sm 0.306 0.306 0.315
Sm 0.694 0.694 0.685
Ga 0.144 0.144 0.862
Ga 0.147 0.147 0.421
Ga 0.344 0.344 0.959
Ga 0.500 0.500 0.303
Ga 0.500 0.500 0.697
Ga 0.656 0.656 0.041
Ga 0.853 0.853 0.579
Ga 0.856 0.856 0.138
Cu 0.000 0.000 0.500
Cu 0.344 0.344 0.702
Cu 0.656 0.656 0.298

Largest 6 diffraction maxima, in order of rising 2θ, 10° ≤ 2θ ≤ 90°:
d (Å)	two_theta	Rel. int.
2.565	34.99	42
2.555	35.12	100
2.540	35.34	93
2.149	42.04	54
2.105	42.98	32
1.504	61.69	22

Record 11
The following is a theoretical powder X-ray diffraction pattern of Sm3Ga2Cu. It was derived from DFT lattice parameters and positions (GGA-PBE), using Cu Kα, 1.54184 Å.
No peak broadening, texture or thermal motion is included.

abc: 11.919 4.378 11.364
angles: 90.00 90.00 90.00
Sites, in units of the cell vectors:
Sm 0.051 0.250 0.128
Sm 0.127 0.750 0.563
Sm 0.221 0.250 0.800
Sm 0.279 0.750 0.300
Sm 0.373 0.250 0.063
Sm 0.449 0.750 0.628
Sm 0.551 0.250 0.372
Sm 0.627 0.750 0.937
Sm 0.721 0.250 0.700
Sm 0.779 0.750 0.200
Sm 0.873 0.250 0.437
Sm 0.949 0.750 0.872
Ga 0.016 0.750 0.317
Ga 0.189 0.750 0.001
Ga 0.311 0.250 0.501
Ga 0.484 0.250 0.817
Ga 0.516 0.750 0.183
Ga 0.689 0.750 0.499
Ga 0.811 0.250 0.999
Ga 0.984 0.250 0.683
Cu 0.124 0.250 0.378
Cu 0.376 0.750 0.878
Cu 0.624 0.250 0.122
Cu 0.876 0.750 0.622

Largest 6 diffraction maxima, in order of rising 2θ, 10° ≤ 2θ ≤ 90°:
d (Å)	two_theta	Rel. int.
3.369	26.45	45
2.997	29.81	51
2.865	31.22	100
2.613	34.32	96
2.407	37.35	46
2.189	41.24	65

Record 12
The following is a theoretical powder X-ray diffraction pattern of Sm3GaCu8. It was derived from DFT lattice parameters and positions (GGA-PBE), using Cu Kα, 1.54184 Å.
No peak broadening, texture or thermal motion is included.

abc: 5.247 5.247 8.466
angles: 90.00 90.00 120.00
Sites, in units of the cell vectors:
Sm 0.000 0.000 0.000
Sm 0.000 0.000 0.391
Sm 0.333 0.667 0.839
Ga 0.333 0.667 0.458
Cu 0.002 0.501 0.188
Cu 0.339 0.169 0.683
Cu 0.499 0.501 0.188
Cu 0.499 0.998 0.188
Cu 0.667 0.333 0.437
Cu 0.667 0.333 0.941
Cu 0.831 0.169 0.683
Cu 0.831 0.661 0.683

Largest 6 diffraction maxima, in order of rising 2θ, 10° ≤ 2θ ≤ 90°:
d (Å)	two_theta	Rel. int.
3.097	28.82	25
2.624	34.17	54
2.397	37.52	76
2.230	40.45	100
2.195	41.13	66
1.467	63.39	32